Starting from DFT lattice parameters and positions (GGA+U), the PXRD pattern of KCaGdWO6 was computed for a wavelength of 1.5418 Å.
No peak broadening, texture or thermal motion is included.

Peak list (8 most intense, 2θ = 10–90°, in order of rising 2θ)
Position (°2θ)  I/Imax  h k l
21.1  65  2 0 0
30.1  100  2 2 0
43.0  32  4 0 0
48.4  29  4 2 0
53.4  40  4 2 2
62.5  20  4 4 0
70.9  18  6 2 0
86.6  21  6 4 2

Lattice parameters (Å, degrees): 8.410 8.410 8.410 90.00 90.00 90.00
Space group F-43m (No. 216)
One atom of each set of equivalent atoms:
K: 0.000 0.000 0.000 (multiplicity 4)
Ca: 0.000 0.000 0.500 (multiplicity 4)
Gd: 0.250 0.250 0.750 (multiplicity 4)
W: 0.250 0.250 0.250 (multiplicity 4)
O: 0.018 0.250 0.250 (multiplicity 24)